[1]
Diffraction record for KPt3O6. The powder XRD pattern is computed, not measured: it uses a DFT-relaxed cell (PBE, Alexandria) and Cu Kα X-rays.
Peak positions follow from Bragg's law for the DFT cell and can differ from measured ones.

Crystal structure
Lattice parameters (Å, degrees): 6.5363 6.5363 3.1867 90.00 90.00 111.17
Sites, in units of the cell vectors:
K 0.0000 0.0000 0.0000
Pt 0.0000 0.5000 0.5000
Pt 0.5000 0.0000 0.5000
Pt 0.5000 0.5000 0.0000
O 0.1703 0.4334 0.0000
O 0.1837 0.8163 0.5000
O 0.4334 0.1703 0.0000
O 0.5666 0.8297 0.0000
O 0.8163 0.1837 0.5000
O 0.8297 0.5666 0.0000

The 12 most intense peaks (10° ≤ 2θ ≤ 80°), in order of falling intensity:
Position (°2θ)	Rel. int.
29.31	100
32.64	85
50.78	55
37.26	42
14.53	32
33.23	30
60.42	29
66.18	20
16.44	18
56.98	17
31.68	15
49.34	15

[2]
Diffraction record for K3Pt2O4. The powder XRD pattern is computed, not measured: it uses a DFT-relaxed cell (PBE, Alexandria) and Cu Kα X-rays.
Peak positions follow from Bragg's law for the DFT cell and can differ from measured ones.

Crystal structure
Lattice parameters (Å, degrees): 5.6175 5.6175 11.8072 90.00 90.00 113.47
Sites, in units of the cell vectors:
K 0.1488 0.8512 0.5677
K 0.1488 0.8512 0.9323
K 0.2106 0.7894 0.2500
K 0.7894 0.2106 0.7500
K 0.8512 0.1488 0.0677
K 0.8512 0.1488 0.4323
Pt 0.4219 0.5781 0.7500
Pt 0.5000 0.5000 0.0000
Pt 0.5000 0.5000 0.5000
Pt 0.5781 0.4219 0.2500
O 0.2106 0.3727 0.6158
O 0.2106 0.3727 0.8842
O 0.3727 0.2106 0.1158
O 0.3727 0.2106 0.3842
O 0.6273 0.7894 0.6158
O 0.6273 0.7894 0.8842
O 0.7894 0.6273 0.1158
O 0.7894 0.6273 0.3842

The 12 most intense peaks (10° ≤ 2θ ≤ 80°), in order of falling intensity:
Position (°2θ)	Rel. int.
17.21	100
35.03	42
18.89	30
28.98	29
32.97	25
20.35	24
42.41	23
32.06	22
53.30	20
41.91	18
35.60	17
30.28	16

[3]
Diffraction record for KPt2O4. The powder XRD pattern is computed, not measured: it uses a DFT-relaxed cell (PBE, Alexandria) and Cu Kα X-rays.
Peak positions follow from Bragg's law for the DFT cell and can differ from measured ones.

Crystal structure
Lattice parameters (Å, degrees): 6.9416 6.9416 6.9416 124.05 124.05 83.12
Sites, in units of the cell vectors:
K 0.3750 0.1250 0.2500
K 0.6250 0.8750 0.7500
Pt 0.0000 0.0000 0.5000
Pt 0.0000 0.5000 0.0000
Pt 0.0000 0.5000 0.5000
Pt 0.5000 0.5000 0.0000
O 0.0053 0.8375 0.6595
O 0.1542 0.4947 0.3323
O 0.3219 0.6542 0.1595
O 0.3375 0.1781 0.8323
O 0.6625 0.8219 0.1677
O 0.6781 0.3458 0.8405
O 0.8458 0.5053 0.6677
O 0.9947 0.1625 0.3405

The 12 most intense peaks (10° ≤ 2θ ≤ 80°), in order of falling intensity:
Position (°2θ)	Rel. int.
16.06	100
32.45	88
31.91	70
29.21	34
53.16	30
66.71	25
39.12	19
60.57	17
40.47	15
51.34	14
56.52	12
45.84	12

[4]
Diffraction record for K2Pt3O8. The powder XRD pattern is computed, not measured: it uses a DFT-relaxed cell (PBE, Alexandria) and Cu Kα X-rays.
Peak positions follow from Bragg's law for the DFT cell and can differ from measured ones.

Crystal structure
Lattice parameters (Å, degrees): 7.1410 7.1410 5.3753 106.54 106.54 52.63
Sites, in units of the cell vectors:
K 0.2258 0.2258 0.1691
K 0.7742 0.7742 0.8309
Pt 0.2446 0.7554 0.5000
Pt 0.5000 0.5000 0.0000
Pt 0.7554 0.2446 0.5000
O 0.0889 0.0889 0.4490
O 0.1931 0.6358 0.1188
O 0.3642 0.8069 0.8812
O 0.4166 0.4166 0.6008
O 0.5834 0.5834 0.3992
O 0.6358 0.1931 0.1188
O 0.8069 0.3642 0.8812
O 0.9111 0.9111 0.5510

The 12 most intense peaks (10° ≤ 2θ ≤ 80°), in order of falling intensity:
Position (°2θ)	Rel. int.
14.59	100
34.13	27
40.95	26
33.32	23
29.43	19
15.79	17
25.27	14
33.54	13
51.80	13
26.14	13
35.22	13
48.87	12

[5]
Diffraction record for KPtS2O9. The powder XRD pattern is computed, not measured: it uses a DFT-relaxed cell (PBE, Alexandria) and Cu Kα X-rays.
Peak positions follow from Bragg's law for the DFT cell and can differ from measured ones.

Crystal structure
Lattice parameters (Å, degrees): 7.7507 7.8138 7.8636 79.26 65.41 61.49
Sites, in units of the cell vectors:
K 0.2385 0.4923 0.0249
K 0.7615 0.5077 0.9751
Pt 0.3460 0.9942 0.4828
Pt 0.6540 0.0058 0.5172
S 0.2662 0.4085 0.5510
S 0.3211 0.9527 0.8903
S 0.6789 0.0473 0.1097
S 0.7338 0.5915 0.4490
O 0.0902 0.9752 0.4325
O 0.1183 0.5586 0.6945
O 0.1594 0.2741 0.5742
O 0.1871 0.1541 0.9514
O 0.2543 0.9049 0.7498
O 0.3246 0.8043 0.0318
O 0.3322 0.4680 0.3586
O 0.4427 0.0832 0.2150
O 0.4634 0.2860 0.6066
O 0.5366 0.7140 0.3934
O 0.5573 0.9168 0.7850
O 0.6678 0.5320 0.6414
O 0.6754 0.1957 0.9682
O 0.7457 0.0951 0.2502
O 0.8129 0.8459 0.0486
O 0.8406 0.7259 0.4258
O 0.8817 0.4414 0.3055
O 0.9098 0.0248 0.5675

The 12 most intense peaks (10° ≤ 2θ ≤ 80°), in order of falling intensity:
Position (°2θ)	Rel. int.
12.38	100
12.89	88
25.96	46
24.91	45
14.20	44
14.05	41
41.62	33
17.77	31
18.05	30
14.80	29
15.11	27
39.86	26

[6]
Diffraction record for K2SiPtO4. The powder XRD pattern is computed, not measured: it uses a DFT-relaxed cell (PBE, Alexandria) and Cu Kα X-rays.
Peak positions follow from Bragg's law for the DFT cell and can differ from measured ones.

Crystal structure
Lattice parameters (Å, degrees): 5.3810 5.3810 5.3810 111.08 111.08 106.30
Sites, in units of the cell vectors:
K 0.0000 0.0000 0.0000
K 0.7500 0.2500 0.5000
Si 0.5000 0.5000 0.0000
Pt 0.2500 0.7500 0.5000
O 0.2305 0.5343 0.0719
O 0.4623 0.1585 0.9281
O 0.4657 0.5377 0.6962
O 0.8415 0.7695 0.3038

The 12 most intense peaks (10° ≤ 2θ ≤ 80°), in order of falling intensity:
Position (°2θ)	Rel. int.
20.05	100
34.74	88
29.33	62
55.58	48
35.79	37
20.63	36
41.96	26
40.74	16
47.20	16
27.64	16
65.46	15
54.34	14